Entry 1:
Theoretical PXRD pattern
Compound: TlB
Radiation: Cu Kα (λ = 1.5418 Å)
Structure: a GGA-PBE-relaxed structure
Intensities are scaled so that the largest is 1000.

Crystal structure
a = 11.238 Å, b = 11.238 Å, c = 3.172 Å
α = 90.00°, β = 90.00°, γ = 90.00°
Space group I4/mmm (No. 139)
One atom of each set of equivalent atoms:
Tl 0.000 0.294 0.000 (multiplicity 8)
B 0.249 0.249 0.000 (multiplicity 8)

Top 6 peaks for 2θ from 10° to 90°, by intensity:
2theta  Rel. int.  h k l
22.38  1000  2 2 0
33.40  724  2 1 1
37.14  651  3 0 1
11.13  551  1 1 0
52.49  549  5 2 1
31.85  381  4 0 0

Entry 2:
Theoretical PXRD pattern
Compound: Cu4WS4Cl4
Radiation: Cu Kα (λ = 1.5418 Å)
Structure: a GGA-PBE-relaxed structure
Intensities are scaled so that the largest is 1000.

Crystal structure
a = 14.422 Å, b = 14.411 Å, c = 5.989 Å
α = 90.00°, β = 99.68°, γ = 90.00°
Space group C2/m (No. 12)
One atom of each set of equivalent atoms:
Cu 0.000 0.089 0.000 (multiplicity 4)
Cu 0.135 0.371 0.557 (multiplicity 8)
Cu 0.158 0.000 0.571 (multiplicity 4)
W 0.000 0.500 0.000 (multiplicity 2)
W 0.000 0.500 0.500 (multiplicity 2)
S 0.000 0.353 0.253 (multiplicity 8)
S 0.140 0.500 0.297 (multiplicity 4)
S 0.140 0.500 0.815 (multiplicity 4)
Cl 0.092 0.116 0.769 (multiplicity 8)
Cl 0.205 0.134 0.377 (multiplicity 8)

Top 6 peaks for 2θ from 10° to 90°, by intensity:
2theta  Rel. int.  h k l
12.28  1000  0 2 0
12.45  472  2 0 0
44.52  253  5 3 -2
17.53  217  2 2 0
21.12  208  2 0 1
43.06  175  3 3 2

Entry 3:
Theoretical PXRD pattern
Compound: RbHfAsO6
Radiation: Cu Kα (λ = 1.5418 Å)
Structure: a GGA-PBE-relaxed structure
Intensities are scaled so that the largest is 1000.

Crystal structure
a = 5.591 Å, b = 9.466 Å, c = 5.943 Å
α = 90.00°, β = 91.08°, γ = 90.00°
Space group C2 (No. 5)
One atom of each set of equivalent atoms:
Rb 0.000 0.000 0.000 (multiplicity 2)
Hf 0.000 0.655 0.500 (multiplicity 2)
As 0.000 0.345 0.500 (multiplicity 2)
O 0.093 0.485 0.694 (multiplicity 4)
O 0.185 0.209 0.660 (multiplicity 4)
O 0.229 0.805 0.662 (multiplicity 4)

Top 6 peaks for 2θ from 10° to 90°, by intensity:
2theta  Rel. int.  h k l
24.01  1000  1 1 1
14.91  669  0 0 1
23.60  600  1 1 -1
32.59  365  1 3 0
45.15  286  1 3 2
30.08  210  0 0 2

Entry 4:
Theoretical PXRD pattern
Compound: LiB8C8
Radiation: Cu Kα (λ = 1.5418 Å)
Structure: a GGA-PBE-relaxed structure
Intensities are scaled so that the largest is 1000.

Crystal structure
a = 4.808 Å, b = 5.527 Å, c = 5.638 Å
α = 76.34°, β = 71.83°, γ = 90.00°
Space group P-1 (No. 2)
One atom of each set of equivalent atoms:
Li 0.000 0.000 0.000 (multiplicity 1)
B 0.051 0.164 0.344 (multiplicity 2)
B 0.055 0.662 0.339 (multiplicity 2)
B 0.444 0.584 0.668 (multiplicity 2)
B 0.454 0.087 0.656 (multiplicity 2)
C 0.219 0.914 0.337 (multiplicity 2)
C 0.222 0.413 0.344 (multiplicity 2)
C 0.279 0.337 0.660 (multiplicity 2)
C 0.279 0.834 0.669 (multiplicity 2)

Top 6 peaks for 2θ from 10° to 90°, by intensity:
2theta  Rel. int.  h k l
17.09  1000  0 0 1
37.62  148  1 2 1
52.94  92  0 0 3
34.57  71  0 0 2
43.68  54  2 0 2
67.83  38  0 4 1

> Which formula does entry 4 have?

LiB8C8

Repeat the third record exactly.
Theoretical PXRD pattern
Compound: RbHfAsO6
Radiation: Cu Kα (λ = 1.5418 Å)
Structure: a GGA-PBE-relaxed structure
Intensities are scaled so that the largest is 1000.

Crystal structure
a = 5.591 Å, b = 9.466 Å, c = 5.943 Å
α = 90.00°, β = 91.08°, γ = 90.00°
Space group C2 (No. 5)
One atom of each set of equivalent atoms:
Rb 0.000 0.000 0.000 (multiplicity 2)
Hf 0.000 0.655 0.500 (multiplicity 2)
As 0.000 0.345 0.500 (multiplicity 2)
O 0.093 0.485 0.694 (multiplicity 4)
O 0.185 0.209 0.660 (multiplicity 4)
O 0.229 0.805 0.662 (multiplicity 4)

Top 6 peaks for 2θ from 10° to 90°, by intensity:
2theta  Rel. int.  h k l
24.01  1000  1 1 1
14.91  669  0 0 1
23.60  600  1 1 -1
32.59  365  1 3 0
45.15  286  1 3 2
30.08  210  0 0 2